Diffraction record for Hf4CoCuAs2. The X-ray diffraction stick pattern is theoretical, not measured: it uses a crystal structure in OQMD, relaxed with GGA-PBE and Cu Kα.

Atomic structure:
```
Hf4CoCuAs2
1.0
5.2879 0.0000 0.0000
0.0000 3.6811 0.0000
-2.5410 0.0000 7.1409
Hf Co Cu As
4 1 1 2
Cartesian
0.0000 0.0000 0.0000 Hf
-1.2936 1.8405 4.4898 Hf
1.2823 0.0000 3.3638 Hf
2.5097 1.8405 0.9641 Hf
0.0619 1.8405 1.8484 Co
-0.0466 0.0000 6.0736 Cu
1.4249 1.8405 5.4616 As
3.8792 0.0000 2.4856 As
```

Top 8 peaks for 2θ = 10–80°, by angle:
d 2.951, intensity 29; d 2.562, intensity 100; d 2.498, intensity 20; d 2.491, intensity 21; d 2.468, intensity 25; d 2.065, intensity 34; d 2.050, intensity 20; d 1.913, intensity 21